(1)
The following is a theoretical X-ray diffraction stick pattern of SrAcClO2. It was derived from a DFT-relaxed cell (PBE, Alexandria), using Cu Kα.
Peak positions follow from Bragg's law for the DFT cell and can differ from measured ones.

Crystal structure
abc: 4.217 4.217 13.362
angles: 90.00 90.00 90.00
Positions (direct):
1 Sr 0.000 0.000 0.000
2 Sr 0.500 0.500 0.500
3 Ac 0.000 0.000 0.326
4 Ac 0.500 0.500 0.826
5 Cl 0.000 0.000 0.666
6 Cl 0.500 0.500 0.166
7 O 0.000 0.500 0.410
8 O 0.000 0.500 0.910
9 O 0.500 0.000 0.410
10 O 0.500 0.000 0.910

Top 6 peaks for 2θ = 15–90°, in order of rising 2θ:
d_spacing  Position (°2θ)  I (rel.)  (hkl)
4.021  22.11  45  1 0 1
3.062  29.16  100  1 0 3
2.982  29.97  38  1 1 0
2.225  40.54  23  0 0 6
1.784  51.21  29  1 1 6
1.737  52.70  44  2 1 3

---

(2)
The following is a theoretical X-ray diffraction stick pattern of Tm2HPbO. It was derived from a DFT-relaxed cell (PBE, Alexandria), using Cu Kα.
Peak positions follow from Bragg's law for the DFT cell and can differ from measured ones.

Crystal structure
abc: 3.714 3.714 13.012
angles: 90.00 90.00 90.00
Positions (direct):
1 Tm 0.000 0.000 0.157
2 Tm 0.000 0.000 0.843
3 Tm 0.500 0.500 0.343
4 Tm 0.500 0.500 0.657
5 H 0.000 0.500 0.750
6 H 0.500 0.000 0.250
7 Pb 0.000 0.000 0.500
8 Pb 0.500 0.500 0.000
9 O 0.000 0.500 0.250
10 O 0.500 0.000 0.750

Top 6 peaks for 2θ = 15–90°, in order of rising 2θ:
d_spacing  Position (°2θ)  I (rel.)  (hkl)
2.821  31.72  100  1 0 3
2.626  34.14  39  1 1 0
1.857  49.06  16  2 0 0
1.672  54.91  21  1 1 6
1.551  59.61  34  2 1 3
1.411  66.26  11  2 0 6